Diffraction record for Ca2Fe7O11. The powder XRD pattern is simulated, not measured: it uses a GGA+U-relaxed structure and Cu Kα, 1.54184 Å.

Atomic structure:
```
Ca2Fe7O11
1.0
5.011 -1.530 0.000
5.011 1.530 0.000
-2.571 0.000 14.201
Ca Fe O
2 7 11
Direct
0.079 0.079 0.224 Ca
0.921 0.921 0.776 Ca
0.139 0.139 0.647 Fe
0.208 0.208 0.901 Fe
0.376 0.376 0.549 Fe
0.500 0.500 0.000 Fe
0.624 0.624 0.451 Fe
0.792 0.792 0.099 Fe
0.861 0.861 0.353 Fe
0.000 0.000 0.500 O
0.151 0.151 0.044 O
0.248 0.248 0.773 O
0.253 0.253 0.413 O
0.438 0.438 0.122 O
0.494 0.494 0.329 O
0.506 0.506 0.671 O
0.562 0.562 0.878 O
0.747 0.747 0.587 O
0.752 0.752 0.227 O
0.849 0.849 0.956 O
```

Largest 10 diffraction maxima, most intense first, 2θ = 5–70°:
2θ (°)  intensity
33.49  1000
33.63  876
42.51  753
40.75  582
35.84  564
12.47  546
41.58  502
33.78  400
60.53  400
43.84  386

Diffraction record for LiAlMo2O8. The powder XRD pattern is simulated, not measured: it uses a GGA+U-relaxed structure and Cu Kα, 1.54184 Å.

Atomic structure:
```
LiAlMo2O8
1.0
6.726 0.000 0.000
-1.847 6.890 0.000
-2.621 -0.833 6.829
Li Al Mo O
2 2 4 16
Direct
0.235 0.055 0.252 Li
0.765 0.945 0.748 Li
0.411 0.600 0.824 Al
0.589 0.400 0.176 Al
0.177 0.531 0.289 Mo
0.336 0.079 0.793 Mo
0.664 0.921 0.207 Mo
0.823 0.469 0.711 Mo
0.089 0.987 0.831 O
0.122 0.557 0.835 O
0.257 0.079 0.541 O
0.258 0.541 0.551 O
0.274 0.771 0.239 O
0.312 0.368 0.219 O
0.426 0.349 0.893 O
0.479 0.876 0.849 O
0.521 0.124 0.151 O
0.574 0.651 0.107 O
0.688 0.632 0.781 O
0.726 0.229 0.761 O
0.742 0.459 0.449 O
0.743 0.921 0.459 O
0.878 0.443 0.165 O
0.911 0.013 0.169 O
```

Largest 10 diffraction maxima, most intense first, 2θ = 5–70°:
2θ (°)  intensity
26.07  1000
27.53  387
18.53  349
23.46  334
21.91  285
29.27  134
51.23  133
43.20  126
19.45  119
34.81  119